# CeSe2
Calculated PXRD pattern, λ = 1.5418 Å (Cu Kα). Input: a cell relaxed with PBE.
Kinematic intensities with the Lorentz-polarization factor, no thermal factor.

Cell and atoms:
a b c (Å): 14.341 14.341 14.341
angles (deg): 109.47 109.47 109.47
Sites, in units of the cell vectors:
Ce: 0.138 0.500 0.862
Ce: 0.138 0.638 0.276
Ce: 0.276 0.138 0.638
Ce: 0.362 0.500 0.638
Ce: 0.362 0.862 0.724
Ce: 0.500 0.638 0.362
Ce: 0.500 0.862 0.138
Ce: 0.638 0.276 0.138
Ce: 0.638 0.362 0.500
Ce: 0.724 0.362 0.862
Ce: 0.862 0.138 0.500
Ce: 0.862 0.724 0.362
Se: 0.000 0.379 0.621
Se: 0.000 0.621 0.379
Se: 0.084 0.167 0.584
Se: 0.084 0.916 0.500
Se: 0.167 0.584 0.084
Se: 0.242 0.621 0.621
Se: 0.379 0.000 0.621
Se: 0.379 0.379 0.758
Se: 0.379 0.621 0.000
Se: 0.379 0.758 0.379
Se: 0.416 0.584 0.500
Se: 0.416 0.833 0.916
Se: 0.500 0.084 0.916
Se: 0.500 0.416 0.584
Se: 0.584 0.084 0.167
Se: 0.584 0.500 0.416
Se: 0.621 0.000 0.379
Se: 0.621 0.242 0.621
Se: 0.621 0.379 0.000
Se: 0.621 0.621 0.242
Se: 0.758 0.379 0.379
Se: 0.833 0.916 0.416
Se: 0.916 0.416 0.833
Se: 0.916 0.500 0.084

The 6 most intense peaks (2θ = 5–70°), low angle first:
7.55 deg, I 100; 10.68 deg, I 22; 13.10 deg, I 38; 20.06 deg, I 60; 37.63 deg, I 23; 43.01 deg, I 28